Theoretical powder X-ray diffraction pattern
Compound: SmGd3Al4O12
Radiation: Cu Kα (weighted mean of Kα1 and Kα2)
Structure: DFT lattice parameters and positions (PBE)
Neutral-atom scattering factors, no anomalous dispersion.

Structural model:
```
SmGd3Al4O12
1.0
5.295 0.000 0.000
0.000 7.520 0.000
-0.009 0.000 5.364
Sm Gd Al O
1 3 4 12
Cartesian
0.000 0.000 0.000 Sm
0.102 3.760 0.441 Gd
2.642 3.760 3.118 Gd
2.746 0.000 2.669 Gd
0.043 1.884 2.895 Al
0.043 5.635 2.895 Al
2.699 1.884 0.212 Al
2.699 5.636 0.212 Al
0.452 0.000 2.968 O
1.176 2.187 4.432 O
1.176 5.333 4.432 O
1.557 2.190 1.746 O
1.557 5.329 1.746 O
2.312 0.000 0.305 O
3.105 3.760 0.115 O
3.824 1.572 4.039 O
3.824 5.947 4.039 O
4.201 1.589 1.366 O
4.201 5.931 1.366 O
4.934 3.760 2.808 O
```

Top 10 peaks for 10° ≤ 2θ ≤ 90°, by angle:
| Position (°2θ) | intensity |
| --- | --- |
| 23.63 | 85 |
| 33.41 | 22 |
| 33.67 | 100 |
| 33.86 | 25 |
| 41.35 | 24 |
| 41.73 | 28 |
| 48.30 | 26 |
| 48.42 | 16 |
| 60.44 | 33 |
| 70.80 | 14 |